Starting from a DFT-relaxed cell (PBE, OQMD), the X-ray diffraction stick pattern of PrGdCu2P4 was simulated for copper Kα.

The 10 most intense peaks (2θ from 10° to 90°), in order of rising 2θ:
hkl 1 0 1, 25.21°, I = 69
hkl 1 0 2, 29.68°, I = 12
hkl 0 0 4, 36.04°, I = 62
hkl 1 1 2, 38.23°, I = 100
hkl 2 0 0, 48.17°, I = 31
hkl 1 0 5, 51.91°, I = 16
hkl 2 1 1, 55.13°, I = 17
hkl 2 0 4, 61.61°, I = 34
hkl 2 1 5, 73.51°, I = 11
hkl 3 1 2, 83.14°, I = 20

Crystal structure
Lattice parameters (Å, degrees): 3.778 3.778 9.955 90.00 90.00 90.00
Space group P4mm (No. 99)
Unique sites:
Pr  0.000  0.000  0.000 x1
Gd  0.500  0.500  0.466 x1
Cu  0.000  0.500  0.728 x2
P  0.000  0.000  0.579 x1
P  0.000  0.500  0.238 x2
P  0.500  0.500  0.875 x1